# 1
This entry pairs a crystal structure of Tm2MgB2Ru5 with its computed powder X-ray diffraction pattern. Radiation: a wavelength of 1.5418 Å. Structure: a GGA-PBE-relaxed structure.

Atomic structure:
```
data_Tm2MgB2Ru5
_chemical_formula_sum 'Tm4 Mg2 B4 Ru10'
_cell_length_a 9.6223
_cell_length_b 9.6223
_cell_length_c 3.1294
_cell_angle_alpha 90.00
_cell_angle_beta 90.00
_cell_angle_gamma 90.00
_space_group_name_H-M_alt 'P 4/m b m'
_space_group_IT_number 127
_space_group_name_Hall '-P 4 2ab'
loop_
_atom_site_label
_atom_site_type_symbol
_atom_site_fract_x
_atom_site_fract_y
_atom_site_fract_z
Tm1 Tm 0.1760 0.3240 0.0000
Mg1 Mg 0.0000 0.0000 0.0000
B1 B 0.1244 0.6244 0.0000
Ru1 Ru 0.0000 0.5000 0.5000
Ru2 Ru 0.0706 0.7772 0.5000
```

Main lines, low angle first (2θ from 10° to 80°):
hkl	two_theta	I_rel
2 1 1	35.5	100
4 1 0	38.6	92
2 2 1	39.1	25
3 3 0	39.7	30
3 1 1	41.4	69
4 2 0	42.0	26
3 2 1	44.6	28
4 1 2	72.8	28



# 2
This entry pairs a crystal structure of MgBS3 with its computed powder X-ray diffraction pattern. Radiation: a wavelength of 1.5418 Å. Structure: a GGA-PBE-relaxed structure.

Atomic structure:
```
data_MgBS3
_chemical_formula_sum 'Mg2 B2 S6'
_cell_length_a 6.6969
_cell_length_b 3.1827
_cell_length_c 9.3801
_cell_angle_alpha 90.00
_cell_angle_beta 99.75
_cell_angle_gamma 90.00
_space_group_name_H-M_alt 'P 1 21/m 1'
_space_group_IT_number 11
loop_
_space_group_symop_operation_xyz
'x,y,z'
'-x,-y,-z'
'-x,y+1/2,-z'
'x,-y+1/2,z'
loop_
_atom_site_label
_atom_site_type_symbol
_atom_site_fract_x
_atom_site_fract_y
_atom_site_fract_z
Mg1 Mg 0.2379 0.2500 0.4200
B1 B 0.3124 0.2500 0.7912
S1 S 0.0621 0.2500 0.6519
S2 S 0.3203 0.7500 0.9116
S3 S 0.4948 0.7500 0.3414
```

Main lines, low angle first (2θ from 10° to 80°):
hkl	two_theta	I_rel
1 0 -1	15.1	100
1 0 -2	21.5	49
1 1 -1	32.0	54
1 1 1	33.4	51
0 1 2	34.2	70
2 0 2	36.0	52
2 1 -1	39.4	74
2 1 -3	46.5	58



# 3
This entry pairs a crystal structure of MgB2S with its computed powder X-ray diffraction pattern. Radiation: a wavelength of 1.5418 Å. Structure: a GGA-PBE-relaxed structure.

Atomic structure:
```
data_MgB2S
_chemical_formula_sum 'Mg4 B8 S4'
_cell_length_a 3.2889
_cell_length_b 11.5450
_cell_length_c 5.7819
_cell_angle_alpha 90.00
_cell_angle_beta 90.00
_cell_angle_gamma 90.00
_space_group_name_H-M_alt 'I m a 2'
_space_group_IT_number 46
loop_
_space_group_symop_operation_xyz
'x,y,z'
'-x,-y,z'
'-x+1/2,y,z'
'x+1/2,-y,z'
'x+1/2,y+1/2,z+1/2'
'-x+1/2,-y+1/2,z+1/2'
'-x,y+1/2,z+1/2'
'x,-y+1/2,z+1/2'
loop_
_atom_site_label
_atom_site_type_symbol
_atom_site_fract_x
_atom_site_fract_y
_atom_site_fract_z
Mg1 Mg 0.2500 0.1694 0.0000
B1 B 0.0000 0.0000 0.2414
B2 B 0.2500 0.5347 0.0016
S1 S 0.2500 0.6802 0.1680
```

Main lines, low angle first (2θ from 10° to 80°):
hkl	two_theta	I_rel
0 2 0	15.3	30
0 3 1	27.8	81
1 2 1	35.0	100
1 1 2	42.4	58
1 4 1	44.6	47
0 3 3	53.1	30
1 5 2	58.3	24
1 7 2	71.8	21



# 4
This entry pairs a crystal structure of Mg2Sc2B with its computed powder X-ray diffraction pattern. Radiation: a wavelength of 1.5418 Å. Structure: a GGA-PBE-relaxed structure.

Atomic structure:
```
data_Mg2Sc2B
_chemical_formula_sum 'Mg4 Sc4 B2'
_cell_length_a 6.4561
_cell_length_b 6.4561
_cell_length_c 5.2720
_cell_angle_alpha 90.00
_cell_angle_beta 90.00
_cell_angle_gamma 90.00
_space_group_name_H-M_alt 'P 4/m b m'
_space_group_IT_number 127
_space_group_name_Hall '-P 4 2ab'
loop_
_atom_site_label
_atom_site_type_symbol
_atom_site_fract_x
_atom_site_fract_y
_atom_site_fract_z
Mg1 Mg 0.1582 0.3418 0.0000
Sc1 Sc 0.1704 0.6704 0.5000
B1 B 0.0000 0.0000 0.5000
```

Main lines, low angle first (2θ from 10° to 80°):
hkl	two_theta	I_rel
0 0 1	16.8	19
2 0 0	27.6	16
0 0 2	34.0	28
2 1 1	35.4	100
3 1 0	44.4	23
3 1 2	57.1	14
2 1 3	61.8	34
0 0 4	71.6	11



# 5
This entry pairs a crystal structure of MgSi4B2 with its computed powder X-ray diffraction pattern. Radiation: a wavelength of 1.5418 Å. Structure: a GGA-PBE-relaxed structure.

Atomic structure:
```
data_MgSi4B2
_chemical_formula_sum 'Mg2 Si8 B4'
_cell_length_a 4.9347
_cell_length_b 4.9347
_cell_length_c 10.7796
_cell_angle_alpha 90.00
_cell_angle_beta 90.00
_cell_angle_gamma 90.00
_space_group_name_H-M_alt 'I 4/m m m'
_space_group_IT_number 139
_space_group_name_Hall '-I 4 2'
loop_
_atom_site_label
_atom_site_type_symbol
_atom_site_fract_x
_atom_site_fract_y
_atom_site_fract_z
Mg1 Mg 0.0000 0.0000 0.0000
Si1 Si 0.0000 0.0000 0.2503
Si2 Si 0.0000 0.5000 0.0000
B1 B 0.0000 0.0000 0.4271
```

Main lines, low angle first (2θ from 10° to 80°):
hkl	two_theta	I_rel
0 0 2	16.4	24
1 1 2	30.5	85
0 0 4	33.2	49
2 0 0	36.4	100
2 0 4	50.1	58
2 2 0	52.4	32
3 1 2	61.9	21
2 2 4	63.5	29



# 6
This entry pairs a crystal structure of MgSiB2 with its computed powder X-ray diffraction pattern. Radiation: a wavelength of 1.5418 Å. Structure: a GGA-PBE-relaxed structure.

Atomic structure:
```
data_MgSiB2
_chemical_formula_sum 'Mg4 Si4 B8'
_cell_length_a 8.9780
_cell_length_b 4.5141
_cell_length_c 6.0604
_cell_angle_alpha 90.00
_cell_angle_beta 126.56
_cell_angle_gamma 90.00
_space_group_name_H-M_alt 'C 1 m 1'
_space_group_IT_number 8
loop_
_space_group_symop_operation_xyz
'x,y,z'
'x,-y,z'
'x+1/2,y+1/2,z'
'x+1/2,-y+1/2,z'
loop_
_atom_site_label
_atom_site_type_symbol
_atom_site_fract_x
_atom_site_fract_y
_atom_site_fract_z
Mg1 Mg 0.0000 0.0000 0.0000
Mg2 Mg 0.1272 0.0000 0.5859
Si1 Si 0.1808 0.5000 0.9659
Si2 Si 0.3737 0.0000 0.1803
B1 B 0.1228 0.5000 0.2493
B2 B 0.3291 0.3266 0.5214
B3 B 0.4290 0.0000 0.5755
```

Main lines, low angle first (2θ from 10° to 80°):
hkl	two_theta	I_rel
1 1 1	34.1	42
3 1 -1	36.2	86
1 1 -2	37.0	100
3 1 -2	39.0	35
0 2 0	39.9	50
3 1 0	42.6	30
4 0 -3	48.2	26
3 1 1	55.6	29



# 7
This entry pairs a crystal structure of TmMgB4 with its computed powder X-ray diffraction pattern. Radiation: a wavelength of 1.5418 Å. Structure: a GGA-PBE-relaxed structure.

Atomic structure:
```
data_TmMgB4
_chemical_formula_sum 'Tm2 Mg2 B8'
_cell_length_a 3.3944
_cell_length_b 3.3944
_cell_length_c 11.0817
_cell_angle_alpha 90.00
_cell_angle_beta 90.00
_cell_angle_gamma 90.00
_space_group_name_H-M_alt 'I -4 m 2'
_space_group_IT_number 119
_space_group_name_Hall 'I -4 -2'
loop_
_atom_site_label
_atom_site_type_symbol
_atom_site_fract_x
_atom_site_fract_y
_atom_site_fract_z
Tm1 Tm 0.0000 0.0000 0.0000
Mg1 Mg 0.0000 0.5000 0.2500
B1 B 0.0000 0.0000 0.4140
B2 B 0.0000 0.5000 0.6714
```

Main lines, low angle first (2θ from 10° to 80°):
hkl	two_theta	I_rel
0 0 2	16.0	74
1 0 1	27.5	100
0 0 4	32.3	22
1 0 3	35.9	62
1 1 2	41.0	65
1 0 5	49.1	30
2 1 1	61.7	22
2 1 3	66.6	21



# 8
This entry pairs a crystal structure of Mg14VB with its computed powder X-ray diffraction pattern. Radiation: a wavelength of 1.5418 Å. Structure: a GGA-PBE-relaxed structure.

Atomic structure:
```
data_Mg14VB
_chemical_formula_sum 'Mg14 V1 B1'
_cell_length_a 6.2430
_cell_length_b 6.2430
_cell_length_c 9.8048
_cell_angle_alpha 90.00
_cell_angle_beta 90.00
_cell_angle_gamma 120.00
_space_group_name_H-M_alt 'P -6 m 2'
_space_group_IT_number 187
_space_group_name_Hall 'P -6 2'
loop_
_atom_site_label
_atom_site_type_symbol
_atom_site_fract_x
_atom_site_fract_y
_atom_site_fract_z
Mg1 Mg 0.0000 0.0000 0.2468
Mg2 Mg 0.0167 0.5083 0.2619
Mg3 Mg 0.3264 0.1632 0.5000
Mg4 Mg 0.3387 0.1694 0.0000
V1 V 0.3333 0.6667 0.0000
B1 B 0.3333 0.6667 0.5000
```

Main lines, low angle first (2θ from 10° to 80°):
hkl	two_theta	I_rel
2 0 0	33.1	25
0 0 4	36.7	24
2 0 2	38.0	100
2 0 4	50.2	14
2 2 0	59.2	17
2 0 6	66.9	16
2 2 4	71.7	18
4 0 2	72.5	13



# 9
This entry pairs a crystal structure of Mn4B with its computed powder X-ray diffraction pattern. Radiation: a wavelength of 1.5418 Å. Structure: a GGA-PBE-relaxed structure.

Atomic structure:
```
data_Mn4B
_chemical_formula_sum 'Mn32 B8'
_cell_length_a 4.0416
_cell_length_b 7.0634
_cell_length_c 13.9157
_cell_angle_alpha 90.00
_cell_angle_beta 90.00
_cell_angle_gamma 90.00
_space_group_name_H-M_alt 'F 2 2 2'
_space_group_IT_number 22
_space_group_name_Hall 'F 2 2'
loop_
_atom_site_label
_atom_site_type_symbol
_atom_site_fract_x
_atom_site_fract_y
_atom_site_fract_z
Mn1 Mn 0.0000 0.0000 0.0815
Mn2 Mn 0.0000 0.1568 0.5000
Mn3 Mn 0.2500 0.0789 0.2500
Mn4 Mn 0.2500 0.2500 0.6675
B1 B 0.2500 0.2500 0.1250
```

Main lines, low angle first (2θ from 10° to 80°):
hkl	two_theta	I_rel
0 0 4	25.6	13
1 1 3	32.0	14
1 1 5	41.4	57
1 3 1	45.0	84
2 0 2	46.8	100
1 3 3	48.9	22
1 1 7	52.9	32
2 2 4	59.0	21



# 10
This entry pairs a crystal structure of MnB4 with its computed powder X-ray diffraction pattern. Radiation: a wavelength of 1.5418 Å. Structure: a GGA-PBE-relaxed structure.

Atomic structure:
```
data_MnB4
_chemical_formula_sum 'Mn2 B8'
_cell_length_a 2.9530
_cell_length_b 4.6295
_cell_length_c 5.3699
_cell_angle_alpha 90.00
_cell_angle_beta 90.00
_cell_angle_gamma 90.00
_space_group_name_H-M_alt 'I m m m'
_space_group_IT_number 71
_space_group_name_Hall '-I 2 2'
loop_
_atom_site_label
_atom_site_type_symbol
_atom_site_fract_x
_atom_site_fract_y
_atom_site_fract_z
Mn1 Mn 0.0000 0.0000 0.0000
B1 B 0.0000 0.2030 0.3406
```

Main lines, low angle first (2θ from 10° to 80°):
hkl	two_theta	I_rel
0 1 1	25.4	100
0 0 2	33.4	17
1 0 1	34.7	25
1 1 0	36.1	65
1 1 2	50.0	31
0 2 2	52.2	21
1 2 1	53.1	43
1 0 3	60.5	21



# 11
This entry pairs a crystal structure of MnB4 with its computed powder X-ray diffraction pattern. Radiation: a wavelength of 1.5418 Å. Structure: a GGA-PBE-relaxed structure.

Atomic structure:
```
data_MnB4
_chemical_formula_sum 'Mn2 B8'
_cell_length_a 4.6083
_cell_length_b 5.3580
_cell_length_c 2.9400
_cell_angle_alpha 90.00
_cell_angle_beta 90.00
_cell_angle_gamma 90.00
_space_group_name_H-M_alt 'P n n m'
_space_group_IT_number 58
loop_
_space_group_symop_operation_xyz
'x,y,z'
'-x,-y,-z'
'-x,-y,z'
'x,y,-z'
'x+1/2,-y+1/2,-z+1/2'
'-x+1/2,y+1/2,z+1/2'
'-x+1/2,y+1/2,-z+1/2'
'x+1/2,-y+1/2,z+1/2'
loop_
_atom_site_label
_atom_site_type_symbol
_atom_site_fract_x
_atom_site_fract_y
_atom_site_fract_z
Mn1 Mn 0.0000 0.0000 0.0000
B1 B 0.1651 0.3688 0.0000
B2 B 0.2355 0.6834 0.0000
```

Main lines, low angle first (2θ from 10° to 80°):
hkl	two_theta	I_rel
1 1 0	25.5	100
0 2 0	33.4	19
0 1 1	34.8	26
1 0 1	36.2	68
1 2 1	50.1	35
2 2 0	52.4	22
2 1 1	53.3	42
0 3 1	60.7	20



# 12
This entry pairs a crystal structure of MnB4 with its computed powder X-ray diffraction pattern. Radiation: a wavelength of 1.5418 Å. Structure: a GGA-PBE-relaxed structure.

Atomic structure:
```
data_MnB4
_chemical_formula_sum 'Mn4 B16'
_cell_length_a 5.4312
_cell_length_b 5.3573
_cell_length_c 5.4682
_cell_angle_alpha 90.00
_cell_angle_beta 114.75
_cell_angle_gamma 90.00
_space_group_name_H-M_alt 'P 1 21/c 1'
_space_group_IT_number 14
loop_
_space_group_symop_operation_xyz
'x,y,z'
'-x,-y,-z'
'-x,y+1/2,-z+1/2'
'x,-y+1/2,z+1/2'
loop_
_atom_site_label
_atom_site_type_symbol
_atom_site_fract_x
_atom_site_fract_y
_atom_site_fract_z
Mn1 Mn 0.2295 0.0005 0.2227
B1 B 0.1358 0.6861 0.3613
B2 B 0.1707 0.1301 0.8242
B3 B 0.3374 0.6301 0.1574
B4 B 0.3706 0.1806 0.6248
```

Main lines, low angle first (2θ from 10° to 80°):
hkl	two_theta	I_rel
1 1 -1	25.6	100
0 2 0	33.5	19
1 1 1	34.8	23
0 0 2	36.2	31
2 0 0	36.4	32
2 2 -2	52.5	22
3 1 -1	53.7	20
2 0 2	63.2	19



# 13
This entry pairs a crystal structure of Mn3B8Mo3 with its computed powder X-ray diffraction pattern. Radiation: a wavelength of 1.5418 Å. Structure: a GGA-PBE-relaxed structure.

Atomic structure:
```
data_Mn3B8Mo3
_chemical_formula_sum 'Mn3 B8 Mo3'
_cell_length_a 3.0374
_cell_length_b 3.1091
_cell_length_c 13.1752
_cell_angle_alpha 90.00
_cell_angle_beta 90.00
_cell_angle_gamma 90.00
_space_group_name_H-M_alt 'P m m 2'
_space_group_IT_number 25
loop_
_space_group_symop_operation_xyz
'x,y,z'
'-x,-y,z'
'-x,y,z'
'x,-y,z'
loop_
_atom_site_label
_atom_site_type_symbol
_atom_site_fract_x
_atom_site_fract_y
_atom_site_fract_z
Mn1 Mn 0.0000 0.0000 0.0000
Mn2 Mn 0.0000 0.0000 0.3630
Mn3 Mn 0.5000 0.5000 0.8758
B1 B 0.0000 0.0000 0.5489
B2 B 0.0000 0.0000 0.8378
B3 B 0.0000 0.5000 0.1108
B4 B 0.0000 0.5000 0.2509
B5 B 0.5000 0.0000 0.6252
B6 B 0.5000 0.0000 0.7647
B7 B 0.5000 0.5000 0.0372
B8 B 0.5000 0.5000 0.3236
Mo1 Mo 0.0000 0.5000 0.6935
Mo2 Mo 0.5000 0.0000 0.1808
Mo3 Mo 0.5000 0.5000 0.4981
```

Main lines, low angle first (2θ from 10° to 80°):
hkl	two_theta	I_rel
0 1 1	29.5	59
1 0 3	35.9	90
0 0 6	41.1	27
1 1 2	43.9	100
0 1 5	45.1	57
1 1 4	50.3	21
1 2 3	71.5	29
1 1 8	71.9	21